# V2H10Se2O13
Computed powder XRD pattern, Cu Kα. Input: a PBE+U-relaxed structure.
No peak broadening, texture or thermal motion is included.

Principal peaks in the range 10° ≤ 2θ ≤ 90°, in order of falling intensity:
2θ/deg	Rel. int.
10.5	100
16.8	72
21.2	53
30.0	36
28.0	33
24.9	30
34.7	28
34.1	26
25.6	23
32.3	22

Cell and atoms:
```
V2H10Se2O13
1.0
9.342 -3.185 0.000
9.342 3.185 0.000
-4.576 0.000 9.635
V H Se O
4 20 4 26
Cartesian
2.690 1.920 8.660
9.130 1.920 5.792
4.978 -1.920 3.842
11.418 -1.920 0.975
5.259 1.786 1.180
-1.375 0.093 8.218
0.913 -0.093 3.400
6.774 1.948 4.267
9.622 1.948 0.550
8.465 0.998 1.189
5.117 0.692 7.145
7.930 0.998 3.628
11.137 1.786 3.637
6.702 0.692 7.307
7.405 -0.692 2.328
2.971 -1.786 5.998
6.177 -0.998 6.006
8.991 -0.692 2.489
5.642 -0.998 8.446
4.486 -1.948 9.085
7.334 -1.948 5.367
13.195 0.093 6.234
15.483 -0.093 1.417
8.849 -1.786 8.454
3.820 1.346 3.720
12.576 1.346 1.097
1.532 -1.346 8.538
10.288 -1.346 5.914
-0.412 0.762 5.707
-1.154 0.791 8.881
3.847 1.048 1.989
3.695 1.735 7.337
8.641 1.758 0.551
1.876 -0.762 0.889
7.754 1.758 4.267
1.134 -0.791 4.063
8.125 1.735 7.115
2.270 0.051 9.181
4.558 -0.051 4.364
1.559 -1.048 6.807
5.910 0.097 7.226
8.198 -0.097 2.409
12.549 1.048 2.828
9.549 0.051 5.271
11.837 -0.051 0.454
5.983 -1.735 2.520
12.973 0.791 5.571
6.353 -1.758 5.368
12.231 0.762 8.745
5.466 -1.758 9.084
10.413 -1.735 2.297
10.261 -1.048 7.645
15.262 -0.791 0.754
14.519 -0.762 3.928
```